# Zn2GaSe4
Computed powder XRD pattern, Cu Kα (λ = 1.5418 Å). Input: the PBE geometry in Alexandria.

Cell and atoms:
```
data_Zn2GaSe4
_cell_length_a 5.616
_cell_length_b 5.616
_cell_length_c 10.925
_cell_angle_alpha 90.00
_cell_angle_beta 90.00
_cell_angle_gamma 90.00
_space_group_name_H-M_alt 'I -4 2 m'
_space_group_IT_number 121
_space_group_name_Hall 'I -4 2'
loop_
_atom_site_label
_atom_site_fract_x
_atom_site_fract_y
_atom_site_fract_z
Zn1 0.000 0.500 0.250
Ga1 0.000 0.000 0.000
Se1 0.236 0.236 0.384
```

Peak list (12 most intense, 15 to 90 degrees two-theta, low angle first)
2θ (°)  Rel. int.  h k l
17.76  6  1 0 1
27.77  100  1 1 2
36.72  7  2 1 1
45.69  24  2 2 0
46.38  45  2 0 4
54.32  28  3 1 2
55.52  13  1 1 6
66.61  7  4 0 0
73.64  5  3 3 2
74.66  10  3 1 6
85.02  14  4 2 4
86.49  6  2 2 8

# SrHf4N6
Computed powder XRD pattern, Cu Kα (λ = 1.5418 Å). Input: the PBE geometry in Alexandria.

Cell and atoms:
```
data_SrHf4N6
_cell_length_a 3.215
_cell_length_b 10.707
_cell_length_c 16.870
_cell_angle_alpha 90.00
_cell_angle_beta 90.00
_cell_angle_gamma 90.00
_space_group_name_H-M_alt 'C m c m'
_space_group_IT_number 63
_space_group_name_Hall '-C 2c 2'
loop_
_atom_site_label
_atom_site_fract_x
_atom_site_fract_y
_atom_site_fract_z
Sr1 0.000 0.152 0.250
Hf1 0.000 0.102 0.638
Hf2 0.000 0.369 0.547
N1 0.000 0.000 0.000
N2 0.000 0.170 0.750
N3 0.000 0.265 0.079
N4 0.000 0.474 0.649
```

Peak list (12 most intense, 15 to 90 degrees two-theta, low angle first)
2θ (°)  Rel. int.  h k l
30.91  32  1 1 2
31.34  100  0 2 5
33.17  38  1 1 3
33.48  35  0 4 0
36.11  21  1 1 4
38.05  22  1 3 1
39.20  29  1 3 2
41.06  37  1 3 3
52.60  18  1 1 8
56.00  20  1 5 4
58.52  16  0 6 5
66.79  24  2 2 5

# Nd2In3Hg6Pb
Computed powder XRD pattern, Cu Kα (λ = 1.5418 Å). Input: the PBE geometry in Alexandria.

Cell and atoms:
```
data_Nd2In3Hg6Pb
_cell_length_a 4.528
_cell_length_b 4.528
_cell_length_c 19.874
_cell_angle_alpha 90.00
_cell_angle_beta 90.00
_cell_angle_gamma 90.00
_space_group_name_H-M_alt 'P 4/m m m'
_space_group_IT_number 123
_space_group_name_Hall '-P 4 2'
loop_
_atom_site_label
_atom_site_fract_x
_atom_site_fract_y
_atom_site_fract_z
Nd1 0.000 0.000 0.244
In1 0.500 0.500 0.219
In2 0.500 0.500 0.500
Hg1 0.000 0.500 0.116
Hg2 0.500 0.500 0.360
Pb1 0.000 0.000 0.000
```

Peak list (12 most intense, 15 to 90 degrees two-theta, low angle first)
2θ (°)  Rel. int.  h k l
20.11  72  1 0 1
26.64  42  1 0 4
28.23  55  1 1 1
31.02  47  1 1 3
33.29  100  1 1 4
36.02  78  1 1 5
36.16  37  0 0 8
37.39  40  1 0 7
39.82  92  2 0 0
54.87  45  2 0 8
57.58  32  2 2 0
69.86  46  2 2 8

# Li2CeNp3N6
Computed powder XRD pattern, Cu Kα (λ = 1.5418 Å). Input: the PBE geometry in Alexandria.

Cell and atoms:
```
data_Li2CeNp3N6
_cell_length_a 14.140
_cell_length_b 3.487
_cell_length_c 7.065
_cell_angle_alpha 90.00
_cell_angle_beta 102.02
_cell_angle_gamma 90.00
_space_group_name_H-M_alt 'C 1 2/m 1'
_space_group_IT_number 12
_space_group_name_Hall '-C 2y'
loop_
_atom_site_label
_atom_site_fract_x
_atom_site_fract_y
_atom_site_fract_z
Li1 0.168 0.000 0.380
Ce1 0.000 0.500 0.000
Np1 0.000 0.500 0.500
Np2 0.179 0.000 0.810
N1 0.009 0.000 0.736
N2 0.164 0.500 0.593
N3 0.171 0.500 0.014
```

Peak list (12 most intense, 15 to 90 degrees two-theta, low angle first)
2θ (°)  Rel. int.  h k l
16.14  100  2 0 -1
26.33  26  2 0 -2
30.01  44  1 1 1
31.25  62  2 0 2
32.19  73  3 1 0
32.60  30  4 0 -2
36.22  77  1 1 -2
39.09  38  6 0 0
52.48  18  0 2 0
53.45  26  5 1 2
55.23  25  7 1 -2
62.36  19  2 2 2